# 1
This entry pairs a crystal structure of LaHo2Er6 with its calculated powder diffraction line list. Radiation: Cu Kα (λ = 1.5418 Å). Structure: a structure optimized by DFT (GGA-PBE).
Kinematic intensities with the Lorentz-polarization factor, no thermal factor.

a b c (Å): 10.608 10.608 5.020
angles (deg): 90.00 90.00 90.00
Fractional coordinates of all 18 atoms:
La: 0.000 0.000 0.000
La: 0.500 0.500 0.500
Ho: 0.169 0.169 0.500
Ho: 0.331 0.669 0.000
Ho: 0.669 0.331 0.000
Ho: 0.831 0.831 0.500
Er: 0.000 0.335 0.000
Er: 0.000 0.665 0.000
Er: 0.165 0.500 0.500
Er: 0.169 0.831 0.500
Er: 0.331 0.331 0.000
Er: 0.335 0.000 0.000
Er: 0.500 0.165 0.500
Er: 0.500 0.835 0.500
Er: 0.665 0.000 0.000
Er: 0.669 0.669 0.000
Er: 0.831 0.169 0.500
Er: 0.835 0.500 0.500

Most intense lines, 2θ = 5–70°, low angle first:
2θ (°)	Rel. int.
30.93	100.0
35.78	17.0
35.92	33.6
51.60	24.1
51.70	11.9
61.29	14.4
61.47	28.3
64.46	12.3

***

# 2
This entry pairs a crystal structure of Ac2HoCu2S6 with its calculated powder diffraction line list. Radiation: Cu Kα (λ = 1.5418 Å). Structure: a structure optimized by DFT (GGA-PBE).
Kinematic intensities with the Lorentz-polarization factor, no thermal factor.

a b c (Å): 7.813 7.813 7.813
angles (deg): 53.58 53.58 53.58
Fractional coordinates of all 11 atoms:
Ac: 0.207 0.207 0.207
Ac: 0.793 0.793 0.793
Ho: 0.000 0.000 0.000
Cu: 0.428 0.428 0.428
Cu: 0.572 0.572 0.572
S: 0.217 0.750 0.750
S: 0.250 0.250 0.783
S: 0.250 0.783 0.250
S: 0.750 0.217 0.750
S: 0.750 0.750 0.217
S: 0.783 0.250 0.250

Most intense lines, 2θ = 5–70°, low angle first:
2θ (°)	Rel. int.
15.19	20.4
22.99	19.2
25.29	100.0
26.64	80.0
34.44	27.6
37.06	47.3
44.57	22.4
45.40	44.6
48.41	19.4
51.93	26.2

***

# 3
This entry pairs a crystal structure of TeS4Cl4 with its calculated powder diffraction line list. Radiation: Cu Kα (λ = 1.5418 Å). Structure: a structure optimized by DFT (GGA-PBE).
Kinematic intensities with the Lorentz-polarization factor, no thermal factor.

a b c (Å): 6.781 11.824 8.107
angles (deg): 90.00 108.05 90.00
Fractional coordinates of all 18 atoms:
Te: 0.000 0.207 0.250
Te: 0.000 0.793 0.750
S: 0.095 0.008 0.118
S: 0.095 0.992 0.618
S: 0.370 0.478 0.506
S: 0.370 0.522 0.006
S: 0.630 0.478 0.994
S: 0.630 0.522 0.494
S: 0.905 0.008 0.382
S: 0.905 0.992 0.882
Cl: 0.125 0.350 0.064
Cl: 0.125 0.650 0.564
Cl: 0.356 0.195 0.466
Cl: 0.356 0.805 0.966
Cl: 0.644 0.195 0.034
Cl: 0.644 0.805 0.534
Cl: 0.875 0.350 0.436
Cl: 0.875 0.650 0.936

Most intense lines, 2θ = 5–70°, low angle first:
2θ (°)	Rel. int.
13.72	100.0
15.65	18.1
16.72	40.2
21.22	11.8
30.50	14.0
32.39	32.9
33.86	17.1
34.16	19.8
38.00	13.1
38.22	17.3